Structure and calculated powder XRD pattern of LaB3Os2 (a crystal structure in Alexandria, relaxed with GGA-PBE; λ = 1.5418 Å (Cu Kα)).
Peak positions follow from Bragg's law for the DFT cell and can differ from measured ones.

Top 10 peaks for 15° ≤ 2θ ≤ 90°, by intensity:
30.36 deg, rel. 100, hkl 0 3 1; 46.17 deg, rel. 72, hkl 2 3 1; 35.51 deg, rel. 51, hkl 1 1 2; 33.94 deg, rel. 47, hkl 2 0 0; 28.58 deg, rel. 26, hkl 1 2 1; 29.76 deg, rel. 21, hkl 0 0 2; 52.09 deg, rel. 19, hkl 1 2 3; 65.60 deg, rel. 16, hkl 2 6 0; 57.55 deg, rel. 15, hkl 1 5 2; 45.75 deg, rel. 14, hkl 2 0 2

Crystal structure
```
data_LaB3Os2
_cell_length_a 5.283
_cell_length_b 10.134
_cell_length_c 6.005
_cell_angle_alpha 90.00
_cell_angle_beta 90.00
_cell_angle_gamma 90.00
_symmetry_space_group_name_H-M 'I m m a'
_symmetry_Int_Tables_number 74
_symmetry_space_group_name_Hall '-I 2b 2'
loop_
_atom_site_label
_atom_site_type_symbol
_atom_site_fract_x
_atom_site_fract_y
_atom_site_fract_z
La1 La 0.000 0.250 0.141
B1 B 0.168 0.000 0.000
B2 B 0.250 0.250 0.750
Os1 Os 0.000 0.086 0.687
```